For Li9Mn2Co5O16, a cell relaxed with GGA+U gives the theoretical powder X-ray diffraction pattern in this record (Cu Kα (weighted mean of Kα1 and Kα2)).
Lines closer than 0.1° are merged.

The 6 most intense peaks (2θ from 10° to 80°), sorted by position:
- hkl 0 0 2, 18.4°, d = 4.817 Å, intensity 1000
- hkl 1 -2 0, 35.5°, d = 2.528 Å, intensity 146
- hkl 1 2 -2, 36.5°, d = 2.460 Å, intensity 125
- hkl -1 2 2, 42.7°, d = 2.115 Å, intensity 287
- hkl 1 2 -4, 44.3°, d = 2.043 Å, intensity 257
- hkl 2 0 2, 44.5°, d = 2.035 Å, intensity 251

Cell: 4.973 5.877 10.149 Å, 105.10 99.77 91.32°
Space group P-1 (No. 2)
Symmetry-distinct sites (fractional):
Li1 0.000 0.000 0.000 [1 per cell]
Li2 0.240 0.873 0.234 [2 per cell]
Li3 0.243 0.361 0.235 [2 per cell]
Li4 0.246 0.876 0.758 [2 per cell]
Li5 0.251 0.381 0.758 [2 per cell]
Mn1 0.500 0.250 0.500 [2 per cell]
Co1 0.000 0.000 0.500 [1 per cell]
Co2 0.000 0.500 0.000 [1 per cell]
Co3 0.000 0.500 0.500 [1 per cell]
Co4 0.497 0.756 0.999 [2 per cell]
O1 0.122 0.204 0.391 [2 per cell]
O2 0.123 0.706 0.393 [2 per cell]
O3 0.141 0.680 0.887 [2 per cell]
O4 0.142 0.218 0.894 [2 per cell]
O5 0.358 0.568 0.115 [2 per cell]
O6 0.363 0.068 0.613 [2 per cell]
O7 0.363 0.566 0.613 [2 per cell]
O8 0.393 0.066 0.120 [2 per cell]